# K2TlAgF6
Computed powder X-ray diffraction pattern, copper Kα. Input: DFT lattice parameters and positions (GGA-PBE).

Crystal structure
Lattice parameters (Å, degrees): 6.279 6.495 10.826 90.00 124.86 90.00
Sites, in units of the cell vectors:
K (0.233, 0.052, 0.248)
K (0.233, 0.448, 0.748)
K (0.767, 0.552, 0.252)
K (0.767, 0.948, 0.752)
Tl (0.500, 0.000, 0.000)
Tl (0.500, 0.500, 0.500)
Ag (0.000, 0.000, 0.500)
Ag (0.000, 0.500, 0.000)
F (0.169, 0.191, 0.954)
F (0.169, 0.309, 0.454)
F (0.256, 0.721, 0.943)
F (0.256, 0.779, 0.443)
F (0.361, 0.042, 0.762)
F (0.361, 0.458, 0.262)
F (0.639, 0.542, 0.738)
F (0.639, 0.958, 0.238)
F (0.744, 0.221, 0.557)
F (0.744, 0.279, 0.057)
F (0.831, 0.691, 0.546)
F (0.831, 0.809, 0.046)

Principal peaks in the range 10 to 90 degrees two-theta, low angle first:
(hkl)	d (Å)	Position (°2θ)	intensity
1 1 -1	4.514	19.67	1000
0 0 2	4.442	19.99	458
0 2 0	3.248	27.46	400
1 1 1	3.178	28.08	794
1 1 -3	3.155	28.29	781
2 0 -2	3.139	28.43	358
2 2 -2	2.257	39.94	470
3 1 -1	1.824	50.01	301


# Cs3PuHg2Br9
Computed powder X-ray diffraction pattern, copper Kα. Input: DFT lattice parameters and positions (GGA-PBE).

Crystal structure
Lattice parameters (Å, degrees): 8.249 8.249 10.066 90.00 90.00 120.00
Sites, in units of the cell vectors:
Cs (0.000, 0.000, 0.000)
Cs (0.333, 0.667, 0.682)
Cs (0.667, 0.333, 0.318)
Pu (0.000, 0.000, 0.500)
Hg (0.333, 0.667, 0.149)
Hg (0.667, 0.333, 0.851)
Br (0.000, 0.500, 0.000)
Br (0.164, 0.328, 0.340)
Br (0.164, 0.836, 0.340)
Br (0.328, 0.164, 0.660)
Br (0.500, 0.000, 0.000)
Br (0.500, 0.500, 0.000)
Br (0.672, 0.836, 0.340)
Br (0.836, 0.164, 0.660)
Br (0.836, 0.672, 0.660)

Principal peaks in the range 10 to 90 degrees two-theta, low angle first:
(hkl)	d (Å)	Position (°2θ)	intensity
1 0 1	5.826	15.21	425
1 1 0	4.119	21.57	913
2 0 2	2.913	30.69	1000
2 1 1	2.605	34.42	231
3 0 0	2.380	37.80	332
2 2 0	2.062	43.91	378
0 2 4	2.057	44.02	353
3 1 2	1.842	49.48	199